Calculated powder XRD pattern
Compound: Be8MoOs3
Radiation: CuKα
Structure: DFT lattice parameters and positions (PBE)
Kinematic intensities with the Lorentz-polarization factor, no thermal factor.

Cell and atoms:
Cell: 4.3825 4.3825 7.1087 Å, 90.00 90.00 120.00°
Space group P3m1 (No. 156)
One atom of each set of equivalent atoms:
Be (0.0000, 0.0000, 0.0000) [1 per cell]
Be (0.0000, 0.0000, 0.4967) [1 per cell]
Be (0.1695, 0.3389, 0.7549) [3 per cell]
Be (0.3363, 0.1681, 0.2412) [3 per cell]
Mo (0.6667, 0.3333, 0.5591) [1 per cell]
Os (0.3333, 0.6667, 0.0584) [1 per cell]
Os (0.3333, 0.6667, 0.4457) [1 per cell]
Os (0.6667, 0.3333, 0.9289) [1 per cell]

Principal peaks in the range 2θ from 10° to 90°, in order of rising 2θ:
| 2theta | I/Imax |
| --- | --- |
| 23.4 | 100 |
| 25.1 | 57 |
| 26.6 | 67 |
| 34.6 | 49 |
| 41.2 | 99 |
| 45.1 | 98 |
| 48.8 | 71 |
| 62.7 | 32 |
| 70.8 | 39 |
| 77.8 | 40 |
| 80.6 | 19 |
| 85.3 | 19 |